No. 1
This entry pairs a crystal structure of VCdInO5 with its computed powder XRD pattern. Radiation: Cu Kα, 1.54184 Å. Structure: DFT lattice parameters and positions (GGA+U).

Top 10 peaks for 10° ≤ 2θ ≤ 90°, in order of falling intensity:
2θ (°), I/Imax
24.8, 100.0
25.3, 90.7
32.3, 69.6
32.9, 29.9
48.6, 27.9
48.7, 25.5
33.4, 22.9
36.1, 20.1
47.5, 19.8
35.3, 19.0

Atomic structure:
```
VCdInO5
1.0
4.0305 -4.5091 0.0000
4.0305 4.5091 0.0000
-3.4697 0.0000 6.8232
V Cd In O
2 2 2 10
Direct
0.1431 0.8569 0.7500
0.8569 0.1431 0.2500
0.1855 0.8145 0.2500
0.8145 0.1855 0.7500
0.5000 0.5000 0.0000
0.5000 0.5000 0.5000
0.1688 0.2087 0.3599
0.2087 0.1688 0.8599
0.2307 0.7232 0.9242
0.2768 0.7693 0.5758
0.4188 0.5812 0.2500
0.5812 0.4188 0.7500
0.7232 0.2307 0.4242
0.7693 0.2768 0.0758
0.7913 0.8312 0.1401
0.8312 0.7913 0.6401
```


No. 2
This entry pairs a crystal structure of VCdIn2O6 with its computed powder XRD pattern. Radiation: Cu Kα, 1.54184 Å. Structure: DFT lattice parameters and positions (GGA+U).

Top 10 peaks for 10° ≤ 2θ ≤ 90°, in order of falling intensity:
2θ (°), I/Imax
30.8, 100.0
30.7, 96.6
31.0, 91.9
32.2, 87.1
32.5, 84.5
33.0, 76.6
57.2, 43.9
44.5, 40.4
45.8, 35.8
46.1, 34.1

Atomic structure:
```
VCdIn2O6
1.0
5.4215 0.0000 0.0000
-2.6578 4.8280 0.0000
-0.0219 -3.1066 4.8767
V Cd In O
1 1 2 6
Direct
0.0000 0.0000 0.0000
0.4857 0.9634 0.4410
0.2037 0.4195 0.6256
0.7044 0.4168 0.1039
0.0774 0.9091 0.2827
0.2458 0.9011 0.8137
0.3733 0.4596 0.2804
0.6280 0.5646 0.8233
0.8262 0.2107 0.2786
0.8968 0.1806 0.8036
```